Entry 1:
For CsRb3, a DFT-relaxed cell (GGA-PBE, the Materials Project) gives the computed X-ray powder pattern in this record (Cu Kα X-rays).

Top 10 peaks for 15 to 90 degrees two-theta, low angle first:
21.13°, I = 100
23.11°, I = 20
25.08°, I = 33
34.36°, I = 29
35.76°, I = 13
39.44°, I = 19
41.91°, I = 33
43.02°, I = 15
54.26°, I = 23
78.05°, I = 11

Structural model:
```
CsRb3
1.0
-3.5505 3.5505 7.6975
3.5505 -3.5505 7.6975
3.5505 3.5505 -7.6975
Cs Rb
1 3
Direct
0.0000 0.0000 0.0000
0.2500 0.7500 0.5000
0.5000 0.5000 0.0000
0.7500 0.2500 0.5000
```

***

Entry 2:
For CsRb3, a DFT-relaxed cell (GGA-PBE, the Materials Project) gives the computed X-ray powder pattern in this record (Cu Kα X-rays).

Top 10 peaks for 15 to 90 degrees two-theta, low angle first:
19.74°, I = 23
21.43°, I = 25
22.49°, I = 100
29.30°, I = 17
34.55°, I = 22
38.22°, I = 25
41.02°, I = 27
41.62°, I = 19
55.17°, I = 17
64.35°, I = 10

Structural model:
```
CsRb3
1.0
10.3845 0.0000 0.0000
-5.1923 8.9933 0.0000
0.0000 0.0000 8.2929
Cs Rb
2 6
Direct
0.3333 0.6667 0.2500
0.6667 0.3333 0.7500
0.1645 0.3289 0.7500
0.1645 0.8355 0.7500
0.3289 0.1645 0.2500
0.6711 0.8355 0.7500
0.8355 0.1645 0.2500
0.8355 0.6711 0.2500
```

***

Entry 3:
For CsRb3, a DFT-relaxed cell (GGA-PBE, the Materials Project) gives the computed X-ray powder pattern in this record (Cu Kα X-rays).

Top 10 peaks for 15 to 90 degrees two-theta, low angle first:
21.71°, I = 100
30.89°, I = 20
38.07°, I = 46
44.24°, I = 15
49.80°, I = 21
59.76°, I = 24
68.79°, I = 12
73.09°, I = 7
77.29°, I = 6
85.51°, I = 14

Structural model:
```
CsRb3
1.0
0.0000 5.7902 5.7902
5.7902 0.0000 5.7902
5.7902 5.7902 0.0000
Cs Rb
1 3
Direct
0.0000 0.0000 0.0000
0.2500 0.2500 0.2500
0.5000 0.5000 0.5000
0.7500 0.7500 0.7500
```

***

Entry 4:
For CsRb14Tl27, a DFT-relaxed cell (GGA-PBE, the Materials Project) gives the computed X-ray powder pattern in this record (Cu Kα X-rays).

Top 10 peaks for 15 to 90 degrees two-theta, low angle first:
24.27°, I = 20
29.05°, I = 60
29.58°, I = 63
29.78°, I = 100
32.39°, I = 35
34.06°, I = 56
35.10°, I = 31
35.26°, I = 35
39.42°, I = 22
54.79°, I = 27

Structural model:
```
CsRb14Tl27
1.0
10.6478 0.0000 0.0000
-5.3239 9.2212 0.0000
0.0000 0.0000 18.1564
Cs Rb Tl
1 14 27
Direct
0.0000 0.0000 0.0000
0.0000 0.2722 0.1887
0.0000 0.2722 0.8113
0.0000 0.6108 0.3169
0.0000 0.6108 0.6831
0.2722 0.0000 0.1887
0.2722 0.0000 0.8113
0.3333 0.6667 0.5000
0.3892 0.3892 0.3169
0.3892 0.3892 0.6831
0.6108 0.0000 0.3169
0.6108 0.0000 0.6831
0.6667 0.3333 0.5000
0.7278 0.7278 0.1887
0.7278 0.7278 0.8113
0.0000 0.0000 0.3504
0.0000 0.0000 0.6496
0.0000 0.2840 0.4086
0.0000 0.2840 0.5914
0.0000 0.6175 0.1000
0.0000 0.6175 0.9000
0.0000 0.7887 0.5000
0.1727 0.4656 0.0000
0.2113 0.2113 0.5000
0.2840 0.0000 0.4086
0.2840 0.0000 0.5914
0.2929 0.8273 0.0000
0.3333 0.6667 0.1565
0.3333 0.6667 0.8435
0.3825 0.3825 0.1000
0.3825 0.3825 0.9000
0.4656 0.1727 0.0000
0.5344 0.7071 0.0000
0.6175 0.0000 0.1000
0.6175 0.0000 0.9000
0.6667 0.3333 0.1565
0.6667 0.3333 0.8435
0.7071 0.5344 0.0000
0.7160 0.7160 0.4086
0.7160 0.7160 0.5914
0.7887 0.0000 0.5000
0.8273 0.2929 0.0000
```

***

Entry 5:
For Cs4Re6Se13, a DFT-relaxed cell (GGA-PBE, the Materials Project) gives the computed X-ray powder pattern in this record (Cu Kα X-rays).

Top 10 peaks for 15 to 90 degrees two-theta, low angle first:
15.78°, I = 100
27.55°, I = 64
29.55°, I = 76
29.92°, I = 61
43.29°, I = 61
43.53°, I = 84
43.85°, I = 100
44.42°, I = 87
46.01°, I = 71
49.16°, I = 64

Structural model:
```
Cs4Re6Se13
1.0
5.2373 -9.1153 0.0000
5.2373 9.1153 0.0000
-2.7303 0.0000 14.2623
Cs Re Se
8 12 26
Direct
0.1604 0.3999 0.5816
0.1824 0.2220 0.2778
0.2220 0.1824 0.7778
0.3999 0.1604 0.0816
0.6001 0.8396 0.9184
0.7780 0.8176 0.2222
0.8176 0.7780 0.7222
0.8396 0.6001 0.4184
0.0619 0.6479 0.1068
0.0819 0.6498 0.9255
0.1848 0.5076 0.0217
0.3502 0.9181 0.5745
0.3521 0.9381 0.3932
0.4924 0.8152 0.4783
0.5076 0.1848 0.5217
0.6479 0.0619 0.6068
0.6498 0.0819 0.4255
0.8152 0.4924 0.9783
0.9181 0.3502 0.0745
0.9381 0.3521 0.8932
0.0385 0.2209 0.9926
0.1347 0.7703 0.6665
0.1386 0.8614 0.2500
0.1558 0.5087 0.1953
0.1962 0.5117 0.8474
0.2097 0.6857 0.4458
0.2209 0.0385 0.4926
0.2297 0.8653 0.8335
0.3143 0.7903 0.0542
0.4487 0.5270 0.0681
0.4730 0.5513 0.4319
0.4883 0.8038 0.6526
0.4913 0.8442 0.3047
0.5087 0.1558 0.6953
0.5117 0.1962 0.3474
0.5270 0.4487 0.5681
0.5513 0.4730 0.9319
0.6857 0.2097 0.9458
0.7703 0.1347 0.1665
0.7791 0.9615 0.5074
0.7903 0.3143 0.5542
0.8038 0.4883 0.1526
0.8442 0.4913 0.8047
0.8614 0.1386 0.7500
0.8653 0.2297 0.3335
0.9615 0.7791 0.0074
```

***

Entry 6:
For Cs2S3, a DFT-relaxed cell (GGA-PBE, the Materials Project) gives the computed X-ray powder pattern in this record (Cu Kα X-rays).

Top 10 peaks for 15 to 90 degrees two-theta, low angle first:
17.33°, I = 26
22.49°, I = 34
25.22°, I = 100
28.76°, I = 62
29.74°, I = 45
34.16°, I = 18
35.78°, I = 21
41.20°, I = 29
43.57°, I = 19
51.80°, I = 18

Structural model:
```
Cs2S3
1.0
3.9527 -5.5236 0.0000
3.9527 5.5236 0.0000
0.0000 0.0000 8.4519
Cs S
4 6
Direct
0.0712 0.9288 0.5000
0.3970 0.6030 0.7191
0.6030 0.3970 0.2191
0.9288 0.0712 0.0000
0.1204 0.4504 0.3328
0.2925 0.7075 0.1985
0.4504 0.1204 0.8328
0.5496 0.8796 0.3328
0.7075 0.2925 0.6985
0.8796 0.5496 0.8328
```

***

Entry 7:
For CsS, a DFT-relaxed cell (GGA-PBE, the Materials Project) gives the computed X-ray powder pattern in this record (Cu Kα X-rays).

Top 10 peaks for 15 to 90 degrees two-theta, low angle first:
21.00°, I = 40
29.87°, I = 100
36.80°, I = 13
42.75°, I = 18
48.09°, I = 19
53.02°, I = 38
62.05°, I = 12
66.28°, I = 9
70.38°, I = 16
85.98°, I = 20

Structural model:
```
CsS
1.0
4.2305 0.0000 0.0000
0.0000 4.2305 0.0000
0.0000 0.0000 4.2305
Cs S
1 1
Direct
0.0000 0.0000 0.0000
0.5000 0.5000 0.5000
```

***

Entry 8:
For CsS, a DFT-relaxed cell (GGA-PBE, the Materials Project) gives the computed X-ray powder pattern in this record (Cu Kα X-rays).

Top 10 peaks for 15 to 90 degrees two-theta, low angle first:
15.49°, I = 17
19.50°, I = 26
20.69°, I = 61
24.20°, I = 27
28.59°, I = 100
31.27°, I = 35
33.92°, I = 20
40.56°, I = 23
46.80°, I = 21
65.14°, I = 16

Structural model:
```
CsS
1.0
-2.6430 3.6774 4.5509
2.6430 -3.6774 4.5509
2.6430 3.6774 -4.5509
Cs S
2 2
Direct
0.2272 0.2272 0.0000
0.7728 0.7728 0.0000
0.1444 0.5000 0.6444
0.8556 0.5000 0.3556
```

***

Entry 9:
For CsS3, a DFT-relaxed cell (GGA-PBE, the Materials Project) gives the computed X-ray powder pattern in this record (Cu Kα X-rays).

Top 10 peaks for 15 to 90 degrees two-theta, low angle first:
18.36°, I = 51
18.73°, I = 39
23.23°, I = 73
24.27°, I = 58
25.17°, I = 100
26.22°, I = 42
27.00°, I = 91
28.26°, I = 87
30.44°, I = 77
30.64°, I = 54

Structural model:
```
CsS3
1.0
4.8394 0.0000 0.0000
0.0826 9.5000 0.0000
1.0119 0.8720 11.7486
Cs S
4 12
Direct
0.0492 0.3238 0.4038
0.1061 0.6895 0.1141
0.8939 0.3105 0.8859
0.9508 0.6762 0.5962
0.2079 0.0165 0.7116
0.3654 0.9645 0.8698
0.3665 0.2081 0.1380
0.4284 0.6143 0.8297
0.4705 0.3450 0.6458
0.4836 0.1388 0.6041
0.5164 0.8612 0.3959
0.5295 0.6550 0.3542
0.5716 0.3857 0.1703
0.6335 0.7919 0.8620
0.6346 0.0355 0.1302
0.7921 0.9835 0.2884
```